Entry 1:
Structure and calculated powder diffractogram of NbZnSi2 (DFT lattice parameters and positions (GGA-PBE); Cu Kα, 1.54184 Å).
Lines closer than 0.1° are merged.

Most intense lines, 2θ from 10° to 80°, in order of rising 2θ:
- 24.55°, rel. 32
- 28.43°, rel. 2
- 40.64°, rel. 100
- 48.05°, rel. 16
- 58.82°, rel. 16
- 64.71°, rel. 6
- 66.60°, rel. 1
- 73.95°, rel. 32
- 79.27°, rel. 4

Structure:
```
4
Lattice="0.000 3.140 3.140 3.140 0.000 3.140 3.140 3.140 0.000" Properties=species:S:1:pos:R:3 pbc="T T T"
Nb 0.000 0.000 0.000
Zn 1.570 1.570 1.570
Si 3.140 3.140 3.140
Si 4.710 4.710 4.710
```

Entry 2:
Structure and calculated powder diffractogram of NbSn (DFT lattice parameters and positions (GGA-PBE); Cu Kα, 1.54184 Å).
Lines closer than 0.1° are merged.

Most intense lines, 2θ from 10° to 80°, in order of rising 2θ:
- 19.48°, rel. 1
- 32.20°, rel. 27
- 37.91°, rel. 100
- 39.55°, rel. 20
- 51.88°, rel. 14
- 57.41°, rel. 20
- 67.37°, rel. 3
- 70.66°, rel. 16
- 70.88°, rel. 16
- 71.96°, rel. 21

Structure:
```
2
Lattice="3.210 0.000 0.000 -1.605 2.780 0.000 0.000 0.000 4.558" Properties=species:S:1:pos:R:3 pbc="T T T"
Nb 0.000 0.000 0.000
Sn 1.605 0.927 2.279
```

Entry 3:
Structure and calculated powder diffractogram of TaNb2Sn (DFT lattice parameters and positions (GGA-PBE); Cu Kα, 1.54184 Å).
Lines closer than 0.1° are merged.

Most intense lines, 2θ from 10° to 80°, in order of rising 2θ:
- 16.75°, rel. 34
- 33.87°, rel. 80
- 37.53°, rel. 99
- 37.89°, rel. 48
- 38.01°, rel. 100
- 41.35°, rel. 98
- 41.69°, rel. 92
- 65.72°, rel. 47
- 65.96°, rel. 27
- 71.27°, rel. 25

Structure:
```
8
Lattice="5.293 0.000 0.000 0.000 5.293 0.000 0.000 0.000 5.376" Properties=species:S:1:pos:R:3 pbc="T T T"
Ta 0.000 0.000 1.344
Ta 0.000 0.000 4.032
Nb 1.295 2.647 0.000
Nb 2.647 1.295 2.688
Nb 2.647 3.998 2.688
Nb 3.998 2.647 0.000
Sn 0.000 2.647 2.688
Sn 2.647 0.000 0.000
```

Entry 4:
Structure and calculated powder diffractogram of YTmNb2Sn2 (DFT lattice parameters and positions (GGA-PBE); Cu Kα, 1.54184 Å).
Lines closer than 0.1° are merged.

Most intense lines, 2θ from 10° to 80°, in order of rising 2θ:
- 30.14°, rel. 32
- 30.70°, rel. 34
- 32.15°, rel. 71
- 33.20°, rel. 27
- 37.60°, rel. 100
- 39.72°, rel. 34
- 43.14°, rel. 60
- 55.50°, rel. 25
- 75.43°, rel. 27
- 77.95°, rel. 23

Structure:
```
6
Lattice="4.194 0.000 0.000 0.000 4.194 0.000 0.000 0.000 8.096" Properties=species:S:1:pos:R:3 pbc="T T T"
Y 0.000 0.000 0.000
Tm 2.097 2.097 2.435
Nb 0.000 2.097 5.243
Nb 2.097 0.000 5.243
Sn 0.000 0.000 3.180
Sn 2.097 2.097 7.309
```

Entry 5:
Structure and calculated powder diffractogram of SrNb2 (DFT lattice parameters and positions (GGA-PBE); Cu Kα, 1.54184 Å).
Lines closer than 0.1° are merged.

Most intense lines, 2θ from 10° to 80°, in order of rising 2θ:
- 18.33°, rel. 8
- 30.15°, rel. 24
- 35.52°, rel. 100
- 37.15°, rel. 43
- 43.17°, rel. 6
- 53.56°, rel. 9
- 57.09°, rel. 33
- 62.70°, rel. 29
- 74.18°, rel. 11
- 75.18°, rel. 15

Structure:
```
6
Lattice="0.000 4.191 4.191 4.191 0.000 4.191 4.191 4.191 0.000" Properties=species:S:1:pos:R:3 pbc="T T T"
Sr 1.048 1.048 1.048
Sr 7.335 7.335 7.335
Nb 4.191 2.096 2.096
Nb 2.096 4.191 2.096
Nb 2.096 2.096 4.191
Nb 4.191 4.191 4.191
```

Entry 6:
Structure and calculated powder diffractogram of TaNb8 (DFT lattice parameters and positions (GGA-PBE); Cu Kα, 1.54184 Å).
Lines closer than 0.1° are merged.

Most intense lines, 2θ from 10° to 80°, in order of rising 2θ:
- 12.57°, rel. 4
- 17.82°, rel. 2
- 28.38°, rel. 2
- 33.73°, rel. 1
- 38.39°, rel. 100
- 46.54°, rel. 1
- 53.71°, rel. 1
- 55.37°, rel. 11
- 55.49°, rel. 6
- 69.42°, rel. 34

Structure:
```
9
Lattice="-4.978 4.978 1.656 4.978 -4.978 1.656 4.978 4.978 -1.656" Properties=species:S:1:pos:R:3 pbc="T T T"
Ta 0.000 0.000 0.000
Nb 3.312 0.000 0.000
Nb 6.643 0.000 0.000
Nb 0.000 3.312 0.000
Nb 3.316 3.316 0.000
Nb 1.662 -1.662 1.656
Nb 0.000 6.643 0.000
Nb -1.662 1.662 1.656
Nb 1.662 1.662 1.656
```

Entry 7:
Structure and calculated powder diffractogram of TaNbTl (DFT lattice parameters and positions (GGA-PBE); Cu Kα, 1.54184 Å).
Lines closer than 0.1° are merged.

Most intense lines, 2θ from 10° to 80°, in order of rising 2θ:
- 23.45°, rel. 46
- 27.14°, rel. 8
- 38.75°, rel. 100
- 45.79°, rel. 24
- 47.95°, rel. 2
- 55.97°, rel. 17
- 61.50°, rel. 10
- 63.28°, rel. 3
- 70.15°, rel. 35
- 75.11°, rel. 8

Structure:
```
3
Lattice="0.000 3.286 3.286 3.286 0.000 3.286 3.286 3.286 0.000" Properties=species:S:1:pos:R:3 pbc="T T T"
Ta 0.000 0.000 0.000
Nb 4.929 4.929 4.929
Tl 1.643 1.643 1.643
```

Entry 8:
Structure and calculated powder diffractogram of TbNb (DFT lattice parameters and positions (GGA-PBE); Cu Kα, 1.54184 Å).
Lines closer than 0.1° are merged.

Most intense lines, 2θ from 10° to 80°, in order of rising 2θ:
- 16.71°, rel. 8
- 32.30°, rel. 27
- 33.79°, rel. 27
- 36.58°, rel. 100
- 47.44°, rel. 19
- 57.61°, rel. 17
- 62.28°, rel. 21
- 68.48°, rel. 21
- 70.20°, rel. 15
- 77.76°, rel. 4

Structure:
```
2
Lattice="3.200 0.000 0.000 -1.600 2.771 0.000 0.000 0.000 5.305" Properties=species:S:1:pos:R:3 pbc="T T T"
Tb 0.000 0.000 0.000
Nb 0.000 1.848 2.653
```

Entry 9:
Structure and calculated powder diffractogram of NbTe4 (DFT lattice parameters and positions (GGA-PBE); Cu Kα, 1.54184 Å).
Lines closer than 0.1° are merged.

Most intense lines, 2θ from 10° to 80°, in order of rising 2θ:
- 13.40°, rel. 35
- 25.49°, rel. 30
- 31.98°, rel. 20
- 32.90°, rel. 100
- 37.46°, rel. 22
- 39.95°, rel. 11
- 43.29°, rel. 20
- 49.85°, rel. 30
- 65.62°, rel. 12
- 75.19°, rel. 10

Structure:
```
60
Lattice="9.347 0.000 0.000 0.000 9.347 0.000 0.000 0.000 20.963" Properties=species:S:1:pos:R:3 pbc="T T T"
Nb 0.000 0.000 0.000
Nb 0.000 0.000 3.193
Nb 0.000 0.000 6.425
Nb 0.000 0.000 10.476
Nb 0.000 0.000 13.670
Nb 0.000 0.000 16.900
Nb 4.674 4.674 3.524
Nb 4.674 4.674 6.749
Nb 4.674 4.674 9.947
Nb 4.674 4.674 14.002
Nb 4.674 4.674 17.219
Nb 4.674 4.674 20.414
Te 0.778 2.263 1.516
Te 0.786 7.088 11.994
Te 0.871 2.215 15.374
Te 0.875 7.132 4.898
Te 0.887 2.018 8.445
Te 0.895 7.335 18.926
Te 2.013 0.895 18.926
Te 2.018 8.460 8.445
Te 2.215 0.875 4.898
Te 2.215 8.476 15.374
Te 2.259 0.786 11.994
Te 2.263 8.570 1.516
Te 2.415 3.885 18.899
Te 2.420 5.472 8.429
Te 2.446 3.827 5.046
Te 2.445 5.523 15.522
Te 2.662 3.777 11.978
Te 2.668 5.578 1.491
Te 3.769 2.668 1.491
Te 3.777 6.685 11.978
Te 3.824 2.445 15.522
Te 3.827 6.902 5.046
Te 3.876 2.420 8.429
Te 3.885 6.932 18.899
Te 5.462 2.415 18.899
Te 5.472 6.928 8.429
Te 5.520 2.446 5.046
Te 5.523 6.903 15.522
Te 5.571 2.662 11.978
Te 5.578 6.679 1.491
Te 6.679 3.769 1.491
Te 6.685 5.571 11.978
Te 6.903 3.824 15.522
Te 6.902 5.520 5.046
Te 6.928 3.876 8.429
Te 6.932 5.462 18.899
Te 7.084 0.778 1.516
Te 7.088 8.561 11.994
Te 7.132 0.871 15.374
Te 7.132 8.473 4.898
Te 7.329 0.887 8.445
Te 7.335 8.452 18.926
Te 8.452 2.013 18.926
Te 8.460 7.329 8.445
Te 8.473 2.215 4.898
Te 8.476 7.132 15.374
Te 8.561 2.259 11.994
Te 8.570 7.084 1.516
```

Entry 10:
Structure and calculated powder diffractogram of ZrNbTe4 (DFT lattice parameters and positions (GGA-PBE); Cu Kα, 1.54184 Å).
Lines closer than 0.1° are merged.

Most intense lines, 2θ from 10° to 80°, in order of rising 2θ:
- 27.23°, rel. 43
- 29.86°, rel. 89
- 30.47°, rel. 100
- 33.17°, rel. 97
- 37.29°, rel. 37
- 38.34°, rel. 26
- 49.04°, rel. 29
- 57.05°, rel. 26
- 58.48°, rel. 26
- 72.92°, rel. 27

Structure:
```
12
Lattice="1.858 -7.827 0.000 1.858 7.827 0.000 0.000 0.000 11.968" Properties=species:S:1:pos:R:3 pbc="T T T"
Zr 1.858 5.697 5.984
Zr 1.858 -5.697 0.000
Nb 1.858 3.669 9.134
Nb 1.858 -3.669 3.150
Te 1.858 6.232 3.018
Te 1.858 4.458 11.656
Te 1.858 2.135 2.448
Te 1.858 0.066 5.637
Te 1.858 -0.066 11.621
Te 1.858 -2.135 8.432
Te 1.858 -4.458 5.672
Te 1.858 -6.232 9.002
```

Entry 11:
Structure and calculated powder diffractogram of Nb5Tl (DFT lattice parameters and positions (GGA-PBE); Cu Kα, 1.54184 Å).
Lines closer than 0.1° are merged.

Most intense lines, 2θ from 10° to 80°, in order of rising 2θ:
- 33.00°, rel. 32
- 34.15°, rel. 79
- 34.56°, rel. 43
- 36.21°, rel. 33
- 36.83°, rel. 67
- 37.32°, rel. 59
- 38.66°, rel. 62
- 39.32°, rel. 100
- 39.75°, rel. 46
- 41.35°, rel. 32

Structure:
```
24
Lattice="5.428 0.000 0.000 0.000 7.786 0.000 0.000 0.000 11.157" Properties=species:S:1:pos:R:3 pbc="T T T"
Nb 0.000 0.816 0.000
Nb 0.000 2.699 9.309
Nb 0.000 3.026 1.437
Nb 0.000 4.760 7.016
Nb 0.000 5.086 3.730
Nb 0.000 6.969 5.579
Nb 1.331 0.080 8.550
Nb 1.331 7.706 2.971
Nb 1.392 2.667 4.185
Nb 1.392 5.119 9.764
Nb 2.714 2.025 1.735
Nb 2.714 2.517 10.311
Nb 2.714 3.000 7.645
Nb 2.714 4.786 2.066
Nb 2.714 5.268 4.733
Nb 2.714 5.760 7.313
Nb 4.036 2.667 4.185
Nb 4.036 5.119 9.764
Nb 4.097 0.080 8.550
Nb 4.097 7.706 2.971
Tl 0.000 1.918 6.616
Tl 0.000 5.868 1.037
Tl 2.714 0.430 5.712
Tl 2.714 7.356 0.133
```

Entry 12:
Structure and calculated powder diffractogram of Nb11W5 (DFT lattice parameters and positions (GGA-PBE); Cu Kα, 1.54184 Å).
Lines closer than 0.1° are merged.

Most intense lines, 2θ from 10° to 80°, in order of rising 2θ:
- 13.55°, rel. 1
- 19.21°, rel. 1
- 23.58°, rel. 4
- 27.29°, rel. 6
- 38.98°, rel. 100
- 46.06°, rel. 2
- 48.24°, rel. 2
- 56.31°, rel. 17
- 63.68°, rel. 2
- 70.61°, rel. 34

Structure:
```
16
Lattice="6.535 0.000 0.000 0.000 6.535 0.000 0.000 0.000 6.535" Properties=species:S:1:pos:R:3 pbc="T T T"
Nb 0.000 0.000 3.268
Nb 0.000 3.268 0.000
Nb 1.642 1.642 1.642
Nb 1.642 1.642 4.893
Nb 1.642 4.893 1.642
Nb 1.642 4.893 4.893
Nb 3.268 0.000 0.000
Nb 4.893 1.642 1.642
Nb 4.893 1.642 4.893
Nb 4.893 4.893 1.642
Nb 4.893 4.893 4.893
W 0.000 0.000 0.000
W 0.000 3.268 3.268
W 3.268 0.000 3.268
W 3.268 3.268 0.000
W 3.268 3.268 3.268
```

Entry 13:
Structure and calculated powder diffractogram of Y2Nb (DFT lattice parameters and positions (GGA-PBE); Cu Kα, 1.54184 Å).
Lines closer than 0.1° are merged.

Most intense lines, 2θ from 10° to 80°, in order of rising 2θ:
- 29.52°, rel. 29
- 34.77°, rel. 100
- 36.37°, rel. 39
- 42.24°, rel. 4
- 52.37°, rel. 11
- 55.82°, rel. 33
- 61.27°, rel. 28
- 69.46°, rel. 5
- 72.41°, rel. 11
- 73.39°, rel. 14

Structure:
```
6
Lattice="0.000 4.279 4.279 4.279 0.000 4.279 4.279 4.279 0.000" Properties=species:S:1:pos:R:3 pbc="T T T"
Y 0.000 0.000 0.000
Y 2.139 2.139 0.000
Y 2.139 0.000 2.139
Y 0.000 2.139 2.139
Nb 3.209 3.209 3.209
Nb 5.349 5.349 5.349
```